Pu2Ga6Cu: simulated powder XRD pattern (Cu Kα (weighted mean of Kα1 and Kα2)), based on a cell relaxed with GGA-PBE.

Peak list (10 most intense, 2θ from 10° to 90°, by angle)
| Position (°2θ) | Rel. int. | (hkl) |
| --- | --- | --- |
| 19.6 | 19 | 1 0 0 |
| 27.8 | 20 | 1 1 0 |
| 28.7 | 42 | 1 0 2 |
| 34.9 | 100 | 1 1 2 |
| 39.7 | 51 | 2 0 0 |
| 42.2 | 18 | 0 0 4 |
| 49.7 | 19 | 2 1 2 |
| 57.4 | 17 | 2 2 0 |
| 59.4 | 26 | 2 0 4 |
| 69.0 | 34 | 3 1 2 |

Crystal structure
```
Pu2Ga6Cu
1.0
4.540 0.000 0.000
0.000 4.540 0.000
0.000 0.000 8.560
Pu Ga Cu
2 6 1
Direct
0.000 0.000 0.249
0.000 0.000 0.751
0.000 0.500 0.000
0.000 0.500 0.500
0.500 0.000 0.000
0.500 0.000 0.500
0.500 0.500 0.295
0.500 0.500 0.705
0.500 0.500 0.000
```